For Dy2ReB10, a cell relaxed with PBE gives the calculated X-ray diffraction stick pattern in this record (Cu Kα, 1.54184 Å).
No peak broadening, texture or thermal motion is included.

Crystal structure
```
data_Dy2ReB10
_chemical_formula_sum 'Dy4 Re2 B20'
_cell_length_a 5.7556
_cell_length_b 11.4284
_cell_length_c 4.1720
_cell_angle_alpha 90.00
_cell_angle_beta 90.00
_cell_angle_gamma 90.00
_space_group_name_H-M_alt 'P b a m'
_space_group_IT_number 55
loop_
_space_group_symop_operation_xyz
'x,y,z'
'-x,-y,-z'
'-x,-y,z'
'x,y,-z'
'x+1/2,-y+1/2,-z'
'-x+1/2,y+1/2,z'
'-x+1/2,y+1/2,-z'
'x+1/2,-y+1/2,z'
loop_
_atom_site_label
_atom_site_fract_x
_atom_site_fract_y
_atom_site_fract_z
_atom_site_occupancy
Dy1 0.2248 0.1329 0.0000 1
Re1 0.0000 0.5000 0.5000 1
B1 0.0626 0.3069 0.5000 1
B2 0.1202 0.9594 0.5000 1
B3 0.1279 0.8026 0.5000 1
B4 0.2277 0.3805 0.2001 1
```

Peak list (10 most intense, 2θ = 5–70°, by angle)
- 2θ 17.25, rel. 38.5, (1 1 0)
- 2θ 21.92, rel. 73.2, (1 2 0)
- 2θ 26.45, rel. 28.8, (0 2 1)
- 2θ 27.54, rel. 53.8, (1 1 1)
- 2θ 28.09, rel. 26.1, (1 3 0)
- 2θ 30.75, rel. 100.0, (1 2 1)
- 2θ 37.98, rel. 70.9, (2 0 1)
- 2θ 38.18, rel. 73.5, (0 4 1)
- 2θ 44.69, rel. 45.5, (2 4 0)
- 2θ 49.11, rel. 27.5, (1 2 2)

For DyB5Rh7, a cell relaxed with PBE gives the calculated X-ray diffraction stick pattern in this record (Cu Kα, 1.54184 Å).
No peak broadening, texture or thermal motion is included.

Crystal structure
```
data_DyB5Rh7
_chemical_formula_sum 'Dy2 B10 Rh14'
_cell_length_a 4.9265
_cell_length_b 8.3113
_cell_length_c 7.7111
_cell_angle_alpha 90.00
_cell_angle_beta 90.00
_cell_angle_gamma 90.00
_space_group_name_H-M_alt 'I m m 2'
_space_group_IT_number 44
loop_
_space_group_symop_operation_xyz
'x,y,z'
'-x,-y,z'
'-x,y,z'
'x,-y,z'
'x+1/2,y+1/2,z+1/2'
'-x+1/2,-y+1/2,z+1/2'
'-x+1/2,y+1/2,z+1/2'
'x+1/2,-y+1/2,z+1/2'
loop_
_atom_site_label
_atom_site_fract_x
_atom_site_fract_y
_atom_site_fract_z
_atom_site_occupancy
Dy1 0.0000 0.0000 0.0000 1
B1 0.0000 0.5000 0.7056 1
B2 0.1832 0.2593 0.2524 1
Rh1 0.0000 0.0000 0.3327 1
Rh2 0.0000 0.0000 0.6673 1
Rh3 0.0000 0.2950 0.5487 1
Rh4 0.0000 0.3338 0.9128 1
Rh5 0.0000 0.5000 0.2471 1
```

Peak list (10 most intense, 2θ = 5–70°, by angle)
- 2θ 30.43, rel. 45.8, (1 2 1)
- 2θ 36.48, rel. 100.0, (2 0 0)
- 2θ 36.59, rel. 59.8, (0 1 3)
- 2θ 37.24, rel. 95.3, (1 3 0)
- 2θ 39.55, rel. 59.5, (1 0 3)
- 2θ 43.57, rel. 27.6, (0 4 0)
- 2θ 44.26, rel. 47.8, (1 3 2)
- 2θ 45.39, rel. 71.4, (1 2 3)
- 2θ 49.05, rel. 23.0, (2 2 2)
- 2θ 52.63, rel. 41.6, (2 1 3)

For Dy2B7Rh12, a cell relaxed with PBE gives the calculated X-ray diffraction stick pattern in this record (Cu Kα, 1.54184 Å).
No peak broadening, texture or thermal motion is included.

Crystal structure
```
data_Dy2B7Rh12
_chemical_formula_sum 'Dy2 B7 Rh12'
_cell_length_a 8.8299
_cell_length_b 8.8299
_cell_length_c 3.9525
_cell_angle_alpha 90.00
_cell_angle_beta 90.00
_cell_angle_gamma 120.00
_space_group_name_H-M_alt 'P -3'
_space_group_IT_number 147
loop_
_space_group_symop_operation_xyz
'x,y,z'
'-x,-y,-z'
'-y,x-y,z'
'y,-x+y,-z'
'-x+y,-x,z'
'x-y,x,-z'
loop_
_atom_site_label
_atom_site_fract_x
_atom_site_fract_y
_atom_site_fract_z
_atom_site_occupancy
Dy1 0.3333 0.6667 0.2472 1
B1 0.0000 0.0000 0.0000 1
B2 0.1092 0.4045 0.7443 1
Rh1 0.0657 0.6216 0.7495 1
Rh2 0.0980 0.8518 0.2469 1
```

Peak list (10 most intense, 2θ = 5–70°, by angle)
- 2θ 25.37, rel. 6.0, (0 1 1)
- 2θ 30.35, rel. 6.4, (2 -1 1)
- 2θ 30.94, rel. 24.6, (1 2 0)
- 2θ 38.59, rel. 100.0, (3 -1 1)
- 2θ 42.19, rel. 5.0, (0 3 1)
- 2θ 45.92, rel. 16.4, (0 0 2)
- 2θ 52.14, rel. 6.4, (2 3 0)
- 2θ 55.03, rel. 14.1, (4 1 0)
- 2θ 56.40, rel. 9.5, (1 2 2)
- 2θ 69.22, rel. 10.3, (6 -2 1)

For Dy2B6Rh9, a cell relaxed with PBE gives the calculated X-ray diffraction stick pattern in this record (Cu Kα, 1.54184 Å).
No peak broadening, texture or thermal motion is included.

Crystal structure
```
data_Dy2B6Rh9
_chemical_formula_sum 'Dy2 B6 Rh9'
_cell_length_a 5.6068
_cell_length_b 5.6068
_cell_length_c 8.5749
_cell_angle_alpha 90.00
_cell_angle_beta 90.00
_cell_angle_gamma 120.00
_space_group_name_H-M_alt 'P 6/m m m'
_space_group_IT_number 191
_space_group_name_Hall '-P 6 2'
loop_
_atom_site_label
_atom_site_fract_x
_atom_site_fract_y
_atom_site_fract_z
_atom_site_occupancy
Dy1 0.0000 0.0000 0.2064 1
B1 0.3333 0.6667 0.1672 1
B2 0.3333 0.6667 0.5000 1
Rh1 0.0000 0.5000 0.0000 1
Rh2 0.0000 0.5000 0.3357 1
```

Peak list (10 most intense, 2θ = 5–70°, by angle)
- 2θ 27.76, rel. 21.3, (1 0 2)
- 2θ 31.29, rel. 15.1, (0 0 3)
- 2θ 36.48, rel. 37.3, (1 0 3)
- 2θ 37.03, rel. 100.0, (2 0 0)
- 2θ 38.36, rel. 9.1, (1 1 2)
- 2θ 45.31, rel. 25.6, (1 1 3)
- 2θ 49.24, rel. 30.3, (2 0 3)
- 2θ 59.89, rel. 17.7, (2 1 3)
- 2θ 66.37, rel. 8.0, (3 0 3)
- 2θ 66.74, rel. 22.1, (2 2 0)

For Dy4TlB3Rh12, a cell relaxed with PBE gives the calculated X-ray diffraction stick pattern in this record (Cu Kα, 1.54184 Å).
No peak broadening, texture or thermal motion is included.

Crystal structure
```
data_Dy4TlB3Rh12
_chemical_formula_sum 'Dy8 Tl2 B6 Rh24'
_cell_length_a 8.7613
_cell_length_b 8.7613
_cell_length_c 8.7613
_cell_angle_alpha 90.00
_cell_angle_beta 90.00
_cell_angle_gamma 90.00
_space_group_name_H-M_alt 'I m -3 m'
_space_group_IT_number 229
_space_group_name_Hall '-I 4 2 3'
loop_
_atom_site_label
_atom_site_fract_x
_atom_site_fract_y
_atom_site_fract_z
_atom_site_occupancy
Dy1 0.2500 0.2500 0.2500 1
Tl1 0.0000 0.0000 0.0000 1
B1 0.0000 0.0000 0.5000 1
Rh1 0.0000 0.0000 0.2831 1
Rh2 0.0000 0.2500 0.5000 1
```

Peak list (10 most intense, 2θ = 5–70°, by angle)
- 2θ 28.82, rel. 22.0, (2 2 0)
- 2θ 32.31, rel. 10.6, (3 1 0)
- 2θ 35.49, rel. 100.0, (2 2 2)
- 2θ 38.44, rel. 15.2, (3 2 1)
- 2θ 41.21, rel. 78.9, (4 0 0)
- 2θ 43.84, rel. 6.1, (3 3 0)
- 2θ 48.75, rel. 9.6, (3 3 2)
- 2θ 51.07, rel. 6.8, (4 2 2)
- 2θ 59.70, rel. 48.9, (4 4 0)
- 2θ 67.63, rel. 6.4, (6 2 0)

For Dy2TlB2Rh5, a cell relaxed with PBE gives the calculated X-ray diffraction stick pattern in this record (Cu Kα, 1.54184 Å).
No peak broadening, texture or thermal motion is included.

Crystal structure
```
data_Dy2TlB2Rh5
_chemical_formula_sum 'Dy4 Tl2 B4 Rh10'
_cell_length_a 9.6815
_cell_length_b 9.6815
_cell_length_c 3.2620
_cell_angle_alpha 90.00
_cell_angle_beta 90.00
_cell_angle_gamma 90.00
_space_group_name_H-M_alt 'P 4/m b m'
_space_group_IT_number 127
_space_group_name_Hall '-P 4 2ab'
loop_
_atom_site_label
_atom_site_fract_x
_atom_site_fract_y
_atom_site_fract_z
_atom_site_occupancy
Dy1 0.1755 0.3245 0.0000 1
Tl1 0.0000 0.0000 0.0000 1
B1 0.1211 0.6211 0.0000 1
Rh1 0.0000 0.5000 0.5000 1
Rh2 0.0709 0.7715 0.5000 1
```

Peak list (10 most intense, 2θ = 5–70°, by angle)
- 2θ 34.42, rel. 72.5, (2 1 1)
- 2θ 38.11, rel. 45.9, (2 2 1)
- 2θ 38.33, rel. 58.3, (4 1 0)
- 2θ 40.41, rel. 100.0, (3 1 1)
- 2θ 41.72, rel. 44.6, (4 2 0)
- 2θ 43.66, rel. 19.6, (3 2 1)
- 2θ 56.42, rel. 19.2, (0 0 2)
- 2θ 62.80, rel. 19.8, (5 3 1)
- 2θ 64.42, rel. 24.4, (6 0 1)
- 2θ 68.39, rel. 16.1, (5 4 1)